Record 1
This entry pairs a crystal structure of LiPmTeO6 with its simulated PXRD pattern. Radiation: a wavelength of 1.5418 Å. Structure: a crystal structure in Alexandria, relaxed with GGA-PBE.

Main lines, in order of rising 2θ (10° ≤ 2θ ≤ 80°):
(1 0 0), d 4.625, I 35.1
(1 0 1), d 3.406, I 100.0
(1 1 0), d 2.670, I 24.0
(2 0 1), d 2.101, I 24.8
(2 -1 2), d 1.832, I 30.1
(3 -1 1), d 1.651, I 24.0

Crystal structure
Cell: 5.3400 5.3400 5.0357 Å, 90.00 90.00 120.00°
Space group P312 (No. 149)
One atom of each set of equivalent atoms:
Li1 0.0000 0.0000 0.0000
Pm1 0.3333 0.6667 0.5000
Te1 0.6667 0.3333 0.0000
O1 0.3664 0.0353 0.2156

Record 2
This entry pairs a crystal structure of CeSi3B with its simulated PXRD pattern. Radiation: a wavelength of 1.5418 Å. Structure: a crystal structure in Alexandria, relaxed with GGA-PBE.

Main lines, in order of rising 2θ (10° ≤ 2θ ≤ 80°):
(0 1 1), d 3.526, I 87.0
(1 1 0), d 3.403, I 50.7
(0 0 2), d 3.291, I 48.8
(1 0 2), d 2.798, I 42.8
(1 1 -2), d 2.409, I 78.5
(2 1 0), d 2.402, I 100.0

Crystal structure
Cell: 5.8827 4.1753 6.5952 Å, 90.00 93.56 90.00°
Space group P2_1 (No. 4)
One atom of each set of equivalent atoms:
Ce1 0.1430 0.0000 0.2369
Si1 0.2041 0.9919 0.7456
Si2 0.3582 0.4879 0.6035
Si3 0.3920 0.5024 0.0084
B1 0.4602 0.5196 0.3195

Record 3
This entry pairs a crystal structure of SrLiInPd3 with its simulated PXRD pattern. Radiation: a wavelength of 1.5418 Å. Structure: a crystal structure in Alexandria, relaxed with GGA-PBE.

Main lines, in order of rising 2θ (10° ≤ 2θ ≤ 80°):
(0 2 2), d 2.864, I 78.1
(2 2 0), d 2.728, I 67.2
(0 4 2), d 2.244, I 65.0
(2 0 2), d 2.207, I 100.0
(2 4 0), d 2.177, I 83.2
(4 0 0), d 1.516, I 47.7

Crystal structure
Cell: 6.0621 12.5169 6.4411 Å, 90.00 90.00 90.00°
Space group Cmcm (No. 63)
One atom of each set of equivalent atoms:
Sr1 0.0000 0.1894 0.2500
Li1 0.0000 0.4246 0.2500
In1 0.0000 0.1380 0.7500
Pd1 0.0000 0.3545 0.7500
Pd2 0.2379 0.0000 0.0000

Record 4
This entry pairs a crystal structure of Ta2AsP with its simulated PXRD pattern. Radiation: a wavelength of 1.5418 Å. Structure: a crystal structure in Alexandria, relaxed with GGA-PBE.

Main lines, in order of rising 2θ (10° ≤ 2θ ≤ 80°):
(0 0 1), d 5.869, I 29.8
(1 0 1), d 2.914, I 53.2
(1 1 0), d 2.374, I 73.4
(1 0 2), d 2.209, I 100.0
(2 0 0), d 1.679, I 25.5
(2 1 2), d 1.337, I 40.2

Crystal structure
Cell: 3.3571 3.3571 5.8687 Å, 90.00 90.00 90.00°
Space group P4mm (No. 99)
One atom of each set of equivalent atoms:
Ta1 0.0000 0.0000 0.0000
Ta2 0.5000 0.5000 0.3150
As1 0.0000 0.0000 0.5135
P1 0.5000 0.5000 0.8394

Record 5
This entry pairs a crystal structure of CrAsPd4 with its simulated PXRD pattern. Radiation: a wavelength of 1.5418 Å. Structure: a crystal structure in Alexandria, relaxed with GGA-PBE.

Main lines, in order of rising 2θ (10° ≤ 2θ ≤ 80°):
(1 1 2), d 2.705, I 100.0
(1 0 3), d 2.450, I 24.8
(2 1 0), d 2.228, I 18.7
(2 1 1), d 2.155, I 48.0
(2 1 2), d 1.971, I 33.9
(2 0 4), d 1.610, I 21.9

Crystal structure
Cell: 4.9828 4.9828 8.4411 Å, 90.00 90.00 90.00°
Space group P-42c (No. 112)
One atom of each set of equivalent atoms:
Cr1 0.0000 0.0000 0.0000
As1 0.0000 0.5000 0.2500
Pd1 0.2510 0.3660 0.8868

Record 6
This entry pairs a crystal structure of Ba4MgC4N8F2 with its simulated PXRD pattern. Radiation: a wavelength of 1.5418 Å. Structure: a crystal structure in Alexandria, relaxed with GGA-PBE.

Main lines, in order of rising 2θ (10° ≤ 2θ ≤ 80°):
(2 0 0), d 4.020, I 43.0
(0 2 1), d 3.806, I 32.0
(2 2 -1), d 3.006, I 100.0
(0 3 1), d 2.710, I 29.0
(1 1 -3), d 2.702, I 26.9
(3 1 2), d 1.905, I 28.3

Crystal structure
Cell: 8.5149 8.6371 8.5329 Å, 90.00 109.27 90.00°
Space group P2_1/c (No. 14)
One atom of each set of equivalent atoms:
Ba1 0.2101 0.1678 0.0868
Ba2 0.2458 0.6729 0.2444
Mg1 0.5000 0.0000 0.5000
C1 0.0767 0.5550 0.8405
C2 0.4922 0.1439 0.8541
N1 0.0636 0.1095 0.7308
N2 0.2192 0.5041 0.9088
N3 0.4846 0.2471 0.9520
N4 0.4991 0.5430 0.7456
F1 0.1295 0.6307 0.5029

Number 1 is which compound? LiPmTeO6

What is the formula in the third record? SrLiInPd3